Record 1
Computed PXRD pattern of Na14Tl2O9 for Cu Kα (weighted mean of Kα1 and Kα2), from a PBE-relaxed structure.
Kinematic intensities with the Lorentz-polarization factor, no thermal factor.

Main lines, most intense first (15° ≤ 2θ ≤ 90°):
2θ 17.3, I = 100, hkl 0 1 1; 2θ 31.7, I = 76, hkl 1 1 2; 2θ 40.5, I = 36, hkl 3 -2 1; 2θ 31.0, I = 33, hkl 2 0 1; 2θ 45.9, I = 32, hkl 2 -1 4; 2θ 44.9, I = 26, hkl 3 0 0; 2θ 49.0, I = 21, hkl 0 3 2; 2θ 25.5, I = 19, hkl 1 1 0; 2θ 18.5, I = 13, hkl 0 0 2; 2θ 55.6, I = 13, hkl 3 1 1

Atomic structure:
Unit cell a=6.9913 b=6.9913 c=9.5776 alpha=90.00 beta=90.00 gamma=120.00
Space group P-3 (No. 147)
One atom of each set of equivalent atoms:
Na 0.0000 0.0000 0.2450 (multiplicity 2)
Na 0.0497 0.6912 0.4072 (multiplicity 6)
Na 0.0634 0.3766 0.0898 (multiplicity 6)
Tl 0.3333 0.6667 0.7580 (multiplicity 2)
O 0.0000 0.0000 0.5000 (multiplicity 1)
O 0.0325 0.3378 0.8410 (multiplicity 6)
O 0.3333 0.6667 0.5169 (multiplicity 2)

Record 2
Computed PXRD pattern of Ce2Si2NiPt for Cu Kα (weighted mean of Kα1 and Kα2), from a PBE-relaxed structure.
Kinematic intensities with the Lorentz-polarization factor, no thermal factor.

Main lines, most intense first (15° ≤ 2θ ≤ 90°):
2θ 33.6, I = 100, hkl 1 1 2; 2θ 29.1, I = 35, hkl 1 0 3; 2θ 38.0, I = 33, hkl 0 1 5; 2θ 38.5, I = 20, hkl 1 0 5; 2θ 43.8, I = 19, hkl 0 2 0; 2θ 45.5, I = 17, hkl 2 0 0; 2θ 60.7, I = 17, hkl 2 1 5; 2θ 22.4, I = 15, hkl 0 1 1; 2θ 53.4, I = 13, hkl 1 2 3; 2θ 49.3, I = 13, hkl 0 1 7

Atomic structure:
Unit cell a=3.9875 b=4.1321 c=14.4512 alpha=90.00 beta=90.00 gamma=90.00
Space group Imm2 (No. 44)
One atom of each set of equivalent atoms:
Ce 0.0000 0.0000 0.0000 (multiplicity 2)
Ce 0.0000 0.5000 0.2549 (multiplicity 2)
Si 0.0000 0.0000 0.5787 (multiplicity 2)
Si 0.0000 0.5000 0.8400 (multiplicity 2)
Ni 0.0000 0.0000 0.4187 (multiplicity 2)
Pt 0.0000 0.5000 0.6691 (multiplicity 2)

Record 3
Computed PXRD pattern of ZnP3H12 for Cu Kα (weighted mean of Kα1 and Kα2), from a PBE-relaxed structure.
Kinematic intensities with the Lorentz-polarization factor, no thermal factor.

Main lines, most intense first (15° ≤ 2θ ≤ 90°):
2θ 24.0, I = 100, hkl 2 0 2; 2θ 28.3, I = 47, hkl 0 2 4; 2θ 39.3, I = 21, hkl 2 2 0; 2θ 32.4, I = 21, hkl 1 1 6; 2θ 34.5, I = 16, hkl 2 1 4; 2θ 20.4, I = 16, hkl 1 0 4; 2θ 25.8, I = 13, hkl 0 0 6; 2θ 47.6, I = 12, hkl 2 2 6; 2θ 46.6, I = 11, hkl 0 4 2; 2θ 36.4, I = 10, hkl 0 1 8

Atomic structure:
Unit cell a=9.1723 b=9.1723 c=20.7580 alpha=90.00 beta=90.00 gamma=120.00
Space group R3c (No. 161, hexagonal axes)
One atom of each set of equivalent atoms:
Zn 0.0000 0.0000 0.0000 (multiplicity 6)
P 0.1573 0.3543 0.2916 (multiplicity 18)
H 0.0253 0.2742 0.2261 (multiplicity 18)
H 0.0333 0.4039 0.4291 (multiplicity 18)
H 0.0550 0.1968 0.3232 (multiplicity 18)
H 0.1272 0.4160 0.8573 (multiplicity 18)

Record 4
Computed PXRD pattern of TmNp4As5 for Cu Kα (weighted mean of Kα1 and Kα2), from a PBE-relaxed structure.
Kinematic intensities with the Lorentz-polarization factor, no thermal factor.

Main lines, most intense first (15° ≤ 2θ ≤ 90°):
2θ 30.9, I = 100, hkl 1 0 5; 2θ 44.3, I = 50, hkl 1 2 5; 2θ 73.2, I = 23, hkl 1 4 5; 2θ 26.6, I = 22, hkl 0 1 5; 2θ 26.8, I = 21, hkl 1 1 0; 2θ 54.7, I = 14, hkl 0 2 10; 2θ 55.3, I = 13, hkl 2 2 0; 2θ 44.0, I = 13, hkl 0 0 10; 2θ 64.4, I = 13, hkl 0 4 0; 2θ 44.6, I = 12, hkl 2 0 0

Atomic structure:
Unit cell a=4.0620 b=5.7844 c=20.5979 alpha=90.00 beta=90.00 gamma=90.00
Space group Immm (No. 71)
One atom of each set of equivalent atoms:
Tm 0.0000 0.0000 0.0000 (multiplicity 2)
Np 0.0000 0.0000 0.2001 (multiplicity 4)
Np 0.0000 0.0000 0.4015 (multiplicity 4)
As 0.0000 0.5000 0.0000 (multiplicity 2)
As 0.0000 0.5000 0.1993 (multiplicity 4)
As 0.0000 0.5000 0.4003 (multiplicity 4)

Record 5
Computed PXRD pattern of Ac3Ga9Pt2 for Cu Kα (weighted mean of Kα1 and Kα2), from a PBE-relaxed structure.
Kinematic intensities with the Lorentz-polarization factor, no thermal factor.

Main lines, most intense first (15° ≤ 2θ ≤ 90°):
2θ 33.6, I = 100, hkl 1 2 3; 2θ 40.1, I = 28, hkl 2 0 0; 2θ 32.6, I = 24, hkl 1 3 0; 2θ 33.1, I = 24, hkl 0 3 3; 2θ 61.1, I = 20, hkl 1 6 3; 2θ 42.0, I = 16, hkl 0 0 6; 2θ 34.4, I = 15, hkl 0 4 0; 2θ 68.7, I = 15, hkl 3 2 3; 2θ 21.5, I = 14, hkl 1 1 0; 2θ 53.0, I = 13, hkl 2 3 3

Atomic structure:
Unit cell a=4.4951 b=10.4206 c=12.9135 alpha=90.00 beta=90.00 gamma=90.00
Space group Immm (No. 71)
One atom of each set of equivalent atoms:
Ac 0.0000 0.0000 0.0000 (multiplicity 2)
Ac 0.0000 0.0000 0.3201 (multiplicity 4)
Ga 0.0000 0.2750 0.1256 (multiplicity 8)
Ga 0.0000 0.3660 0.3309 (multiplicity 8)
Ga 0.0000 0.5000 0.0000 (multiplicity 2)
Pt 0.0000 0.2310 0.5000 (multiplicity 4)

Record 6
Computed PXRD pattern of Mg2AlPd8 for Cu Kα (weighted mean of Kα1 and Kα2), from a PBE-relaxed structure.
Kinematic intensities with the Lorentz-polarization factor, no thermal factor.

Main lines, most intense first (15° ≤ 2θ ≤ 90°):
2θ 42.0, I = 100, hkl 1 2 3; 2θ 40.4, I = 33, hkl 2 0 0; 2θ 28.4, I = 25, hkl 1 0 3; 2θ 39.5, I = 21, hkl 1 0 5; 2θ 40.7, I = 18, hkl 0 0 6; 2θ 74.6, I = 18, hkl 3 2 3; 2θ 58.7, I = 12, hkl 2 0 6; 2θ 78.8, I = 10, hkl 2 2 8; 2θ 30.2, I = 10, hkl 0 2 0; 2θ 33.2, I = 9, hkl 0 2 2

Atomic structure:
Unit cell a=4.4611 b=5.9096 c=13.2906 alpha=90.00 beta=90.00 gamma=90.00
Space group Immm (No. 71)
One atom of each set of equivalent atoms:
Mg 0.0000 0.0000 0.1908 (multiplicity 4)
Al 0.0000 0.0000 0.5000 (multiplicity 2)
Pd 0.0000 0.2387 0.0000 (multiplicity 4)
Pd 0.0000 0.2670 0.3601 (multiplicity 8)
Pd 0.0000 0.5000 0.1741 (multiplicity 4)